(1)
Calculated powder diffraction line list of Na2Ca2Cl for copper Kα, from a structure optimized by DFT (PBE).
Intensities are scaled so that the largest is 100.

Crystal structure
a b c (Å): 7.665 7.665 6.474
angles (deg): 90.00 90.00 90.00
Fractional coordinates of all 10 atoms:
Na 0.150 0.350 0.000
Na 0.350 0.850 0.000
Na 0.650 0.150 0.000
Na 0.850 0.650 0.000
Ca 0.173 0.673 0.500
Ca 0.327 0.173 0.500
Ca 0.673 0.827 0.500
Ca 0.827 0.327 0.500
Cl 0.000 0.000 0.500
Cl 0.500 0.500 0.500

Largest 12 diffraction maxima, most intense first, 5° ≤ 2θ ≤ 70°:
- 2θ 29.49, I = 100.0
- 2θ 13.68, I = 48.5
- 2θ 27.56, I = 43.9
- 2θ 37.09, I = 27.4
- 2θ 46.82, I = 26.3
- 2θ 49.94, I = 20.6
- 2θ 51.12, I = 16.4
- 2θ 21.38, I = 14.7
- 2θ 35.92, I = 9.6
- 2θ 39.71, I = 9.3
- 2θ 67.37, I = 9.2
- 2θ 33.06, I = 8.3


(2)
Calculated powder diffraction line list of Na5CaCl8 for copper Kα, from a structure optimized by DFT (PBE).
Intensities are scaled so that the largest is 100.

Crystal structure
a b c (Å): 8.243 8.243 8.243
angles (deg): 60.00 60.00 60.00
Fractional coordinates of all 14 atoms:
Na 0.000 0.000 0.000
Na 0.374 0.374 0.374
Na 0.374 0.374 0.877
Na 0.374 0.877 0.374
Na 0.877 0.374 0.374
Ca 0.750 0.750 0.750
Cl 0.133 0.133 0.133
Cl 0.133 0.133 0.600
Cl 0.133 0.600 0.133
Cl 0.142 0.619 0.619
Cl 0.600 0.133 0.133
Cl 0.619 0.142 0.619
Cl 0.619 0.619 0.142
Cl 0.619 0.619 0.619

Largest 12 diffraction maxima, most intense first, 5° ≤ 2θ ≤ 70°:
- 2θ 43.93, I = 100.0
- 2θ 30.68, I = 76.1
- 2θ 26.49, I = 56.7
- 2θ 25.34, I = 41.3
- 2θ 40.19, I = 28.3
- 2θ 21.56, I = 18.5
- 2θ 52.03, I = 16.6
- 2θ 54.54, I = 15.1
- 2θ 63.88, I = 13.8
- 2θ 61.05, I = 8.2
- 2θ 37.81, I = 7.1
- 2θ 69.88, I = 6.2


(3)
Calculated powder diffraction line list of RbNaCaCl4 for copper Kα, from a structure optimized by DFT (PBE).
Intensities are scaled so that the largest is 100.

Crystal structure
a b c (Å): 8.837 8.837 8.837
angles (deg): 122.76 121.05 86.73
Fractional coordinates of all 14 atoms:
Rb 0.364 0.114 0.250
Rb 0.636 0.886 0.750
Na 0.000 0.500 0.500
Na 0.500 0.500 0.000
Ca 0.000 0.000 0.500
Ca 0.000 0.500 0.000
Cl 0.201 0.741 0.460
Cl 0.213 0.248 0.535
Cl 0.213 0.678 0.965
Cl 0.219 0.259 0.960
Cl 0.781 0.741 0.040
Cl 0.787 0.322 0.035
Cl 0.787 0.752 0.465
Cl 0.799 0.259 0.540

Largest 12 diffraction maxima, most intense first, 5° ≤ 2θ ≤ 70°:
- 2θ 40.92, I = 100.0
- 2θ 20.13, I = 96.3
- 2θ 24.39, I = 62.8
- 2θ 38.28, I = 53.0
- 2θ 36.49, I = 48.6
- 2θ 24.03, I = 41.7
- 2θ 38.68, I = 35.1
- 2θ 20.43, I = 33.9
- 2θ 31.45, I = 31.1
- 2θ 23.15, I = 27.9
- 2θ 41.54, I = 26.3
- 2θ 42.72, I = 25.6


> Which formula does entry 1 have?

Na2Ca2Cl